1.
# Co2NiHg
Theoretical powder diffraction line list, copper Kα. Input: a structure optimized by DFT (GGA-PBE).
Intensities are scaled so that the largest is 100.

Main lines, in order of rising 2θ (2θ = 10–90°):
2θ 13.33, I = 27, (0 0 1)
2θ 26.85, I = 14, (0 0 2)
2θ 31.30, I = 14, (1 0 0)
2θ 34.16, I = 39, (1 0 1)
2θ 40.76, I = 11, (0 0 3)
2θ 41.70, I = 100, (1 0 2)
2θ 44.86, I = 45, (1 1 0)
2θ 53.06, I = 9, (1 1 2)
2θ 62.21, I = 13, (1 1 3)
2θ 65.31, I = 14, (2 0 0)
2θ 73.88, I = 13, (1 1 4)
2θ 80.54, I = 28, (2 1 2)

Structure:
Cell lengths 2.8574, 2.8574, 6.6412 Å; angles 90.00, 90.00, 90.00 degrees
Space group P4mm (No. 99)
Inequivalent atoms, fractional coordinates:
Co1 0.0000 0.0000 0.0000 x1
Co2 0.5000 0.5000 0.1928 x1
Ni1 0.5000 0.5000 0.7847 x1
Hg1 0.0000 0.0000 0.4957 x1

2.
# NaTiH2Ir
Theoretical powder diffraction line list, copper Kα. Input: a structure optimized by DFT (GGA-PBE).
Intensities are scaled so that the largest is 100.

Main lines, in order of rising 2θ (2θ = 10–90°):
2θ 14.26, I = 100, (0 0 1)
2θ 24.75, I = 17, (1 0 0)
2θ 28.71, I = 79, (0 0 2)
2θ 35.28, I = 34, (1 1 0)
2θ 38.25, I = 49, (1 1 1)
2θ 46.13, I = 32, (1 1 2)
2θ 50.76, I = 12, (2 0 0)
2θ 50.89, I = 10, (1 0 3)
2θ 53.00, I = 14, (2 0 1)
2θ 57.39, I = 12, (1 1 3)
2θ 59.36, I = 29, (2 0 2)
2θ 87.10, I = 9, (3 1 1)

Structure:
Cell lengths 3.5973, 3.5973, 6.2107 Å; angles 90.00, 90.00, 90.00 degrees
Space group P4/mmm (No. 123)
Inequivalent atoms, fractional coordinates:
Na1 0.0000 0.0000 0.0000 x1
Ti1 0.0000 0.0000 0.5000 x1
H1 0.0000 0.5000 0.0000 x2
Ir1 0.5000 0.5000 0.5000 x1

3.
# LaErTcO6
Theoretical powder diffraction line list, copper Kα. Input: a structure optimized by DFT (GGA-PBE).
Intensities are scaled so that the largest is 100.

Main lines, in order of rising 2θ (2θ = 10–90°):
2θ 17.38, I = 13, (0 0 1)
2θ 25.60, I = 100, (1 0 1)
2θ 32.60, I = 44, (1 1 0)
2θ 37.18, I = 10, (2 -1 1)
2θ 41.91, I = 26, (2 0 1)
2θ 48.72, I = 44, (2 -1 2)
2θ 54.08, I = 25, (3 -1 1)
2θ 57.55, I = 10, (1 0 3)
2θ 58.18, I = 15, (3 0 0)
2θ 69.84, I = 9, (3 0 2)
2θ 74.25, I = 10, (3 1 1)
2θ 79.22, I = 10, (2 2 2)

Structure:
Cell lengths 5.4930, 5.4930, 5.1024 Å; angles 90.00, 90.00, 120.00 degrees
Space group P312 (No. 149)
Inequivalent atoms, fractional coordinates:
La1 0.0000 0.0000 0.0000 x1
Er1 0.3333 0.6667 0.5000 x1
Tc1 0.6667 0.3333 0.5000 x1
O1 0.3773 0.0384 0.7159 x6

4.
# SmPuCu10
Theoretical powder diffraction line list, copper Kα. Input: a structure optimized by DFT (GGA-PBE).
Intensities are scaled so that the largest is 100.

Main lines, in order of rising 2θ (2θ = 10–90°):
2θ 29.85, I = 86, (1 0 2)
2θ 35.15, I = 17, (0 2 0)
2θ 35.31, I = 34, (0 1 3)
2θ 40.87, I = 37, (0 2 2)
2θ 41.06, I = 18, (0 0 4)
2θ 41.74, I = 50, (1 2 0)
2θ 41.88, I = 100, (1 1 3)
2θ 44.45, I = 38, (2 0 0)
2θ 58.00, I = 16, (2 1 3)
2θ 61.96, I = 21, (2 2 2)
2θ 67.67, I = 23, (1 3 3)
2θ 74.67, I = 15, (0 2 6)

Structure:
Cell lengths 4.0761, 5.1068, 8.7937 Å; angles 90.00, 90.00, 90.00 degrees
Space group Pmmm (No. 47)
Inequivalent atoms, fractional coordinates:
Sm1 0.0000 0.0000 0.0000 x1
Pu1 0.0000 0.5000 0.5000 x1
Cu1 0.0000 0.0000 0.3340 x2
Cu2 0.0000 0.5000 0.1670 x2
Cu3 0.5000 0.0000 0.5000 x1
Cu4 0.5000 0.2498 0.2501 x4
Cu5 0.5000 0.5000 0.0000 x1

5.
# TbScPb2
Theoretical powder diffraction line list, copper Kα. Input: a structure optimized by DFT (GGA-PBE).
Intensities are scaled so that the largest is 100.

Main lines, in order of rising 2θ (2θ = 10–90°):
2θ 23.09, I = 31, (1 1 1)
2θ 23.59, I = 21, (1 1 -2)
2θ 29.49, I = 37, (2 0 0)
2θ 29.70, I = 100, (0 2 1)
2θ 30.02, I = 62, (2 0 -2)
2θ 31.39, I = 91, (0 0 4)
2θ 36.69, I = 54, (2 0 2)
2θ 37.30, I = 91, (0 2 3)
2θ 38.01, I = 44, (2 0 -4)
2θ 40.97, I = 99, (2 2 -1)
2θ 51.83, I = 38, (2 2 3)
2θ 53.16, I = 41, (2 2 -5)

Structure:
Cell lengths 6.2277, 6.2374, 11.7210 Å; angles 90.00, 103.43, 90.00 degrees
Space group P2/c (No. 13)
Inequivalent atoms, fractional coordinates:
Tb1 0.1863 0.1284 0.1298 x4
Sc1 0.3329 0.3689 0.8778 x4
Pb1 0.1620 0.3723 0.6116 x4
Pb2 0.3293 0.1375 0.4029 x4

6.
# Tm4MgAu2
Theoretical powder diffraction line list, copper Kα. Input: a structure optimized by DFT (GGA-PBE).
Intensities are scaled so that the largest is 100.

Main lines, in order of rising 2θ (2θ = 10–90°):
2θ 19.55, I = 22, (0 0 6)
2θ 21.05, I = 11, (1 0 1)
2θ 24.60, I = 49, (1 0 4)
2θ 26.51, I = 15, (0 1 5)
2θ 31.08, I = 32, (1 0 7)
2θ 36.43, I = 100, (1 1 0)
2θ 39.21, I = 66, (1 0 10)
2θ 41.67, I = 20, (1 1 6)
2θ 54.59, I = 26, (0 2 10)
2θ 65.55, I = 18, (3 0 0)
2θ 67.42, I = 27, (2 1 10)
2θ 77.38, I = 11, (2 2 0)

Structure:
Cell lengths 4.9331, 4.9331, 27.2502 Å; angles 90.00, 90.00, 120.00 degrees
Space group R-3m (No. 166, hexagonal axes)
Inequivalent atoms, fractional coordinates:
Tm1 0.0000 0.0000 0.1121 x6
Tm2 0.0000 0.0000 0.2954 x6
Mg1 0.0000 0.0000 0.5000 x3
Au1 0.0000 0.0000 0.4014 x6

7.
# PaNb2Ge2
Theoretical powder diffraction line list, copper Kα. Input: a structure optimized by DFT (GGA-PBE).
Intensities are scaled so that the largest is 100.

Main lines, in order of rising 2θ (2θ = 10–90°):
2θ 20.86, I = 12, (0 0 2)
2θ 30.26, I = 16, (0 4 1)
2θ 32.76, I = 46, (1 1 2)
2θ 33.88, I = 100, (1 3 1)
2θ 34.65, I = 36, (0 2 3)
2θ 35.45, I = 18, (0 4 2)
2θ 40.62, I = 26, (1 1 3)
2θ 42.89, I = 11, (0 4 3)
2θ 49.01, I = 20, (2 0 0)
2θ 49.88, I = 14, (1 1 4)
2θ 61.41, I = 14, (2 2 3)
2θ 62.32, I = 19, (1 5 4)

Structure:
Cell lengths 3.7174, 12.5948, 8.5188 Å; angles 90.00, 90.00, 90.00 degrees
Space group Cmc2_1 (No. 36)
Inequivalent atoms, fractional coordinates:
Pa1 0.0000 0.0933 0.0000 x4
Nb1 0.0000 0.1998 0.6070 x4
Nb2 0.0000 0.3896 0.8828 x4
Ge1 0.0000 0.2487 0.3106 x4
Ge2 0.0000 0.4487 0.1928 x4

8.
# ThInS4
Theoretical powder diffraction line list, copper Kα. Input: a structure optimized by DFT (GGA-PBE).
Intensities are scaled so that the largest is 100.

Main lines, in order of rising 2θ (2θ = 10–90°):
2θ 13.03, I = 17, (1 0 0)
2θ 22.48, I = 100, (1 1 -1)
2θ 24.18, I = 76, (1 1 1)
2θ 37.04, I = 45, (2 2 0)
2θ 39.14, I = 34, (0 2 2)
2θ 41.61, I = 17, (2 0 2)
2θ 43.13, I = 19, (3 1 -1)
2θ 43.40, I = 18, (1 3 -1)
2θ 44.38, I = 19, (1 3 1)
2θ 46.02, I = 16, (3 1 1)
2θ 46.80, I = 17, (1 1 -3)
2θ 49.53, I = 18, (1 1 3)

Structure:
Cell lengths 6.8300, 6.9392, 6.1846 Å; angles 90.00, 95.96, 90.00 degrees
Space group P2_1/c (No. 14)
Inequivalent atoms, fractional coordinates:
Th1 0.0000 0.0000 0.0000 x2
In1 0.5000 0.0000 0.5000 x2
S1 0.1998 0.1885 0.3611 x4
S2 0.2887 0.7230 0.2596 x4

9.
# Re2O9
Theoretical powder diffraction line list, copper Kα. Input: a structure optimized by DFT (GGA-PBE).
Intensities are scaled so that the largest is 100.

Main lines, in order of rising 2θ (2θ = 10–90°):
2θ 13.98, I = 21, (0 1 1)
2θ 19.19, I = 100, (0 2 0)
2θ 20.02, I = 76, (1 0 -1)
2θ 20.43, I = 28, (0 0 2)
2θ 22.60, I = 63, (0 1 2)
2θ 23.36, I = 26, (1 0 1)
2θ 25.29, I = 23, (1 1 1)
2θ 27.88, I = 64, (1 2 -1)
2θ 28.18, I = 20, (0 2 2)
2θ 30.41, I = 29, (1 2 1)
2θ 44.18, I = 21, (1 4 -1)
2θ 45.36, I = 18, (2 2 -2)

Structure:
Cell lengths 4.7075, 9.2479, 8.8419 Å; angles 90.00, 100.49, 90.00 degrees
Space group P2_1/m (No. 11)
Inequivalent atoms, fractional coordinates:
Re1 0.0167 0.2500 0.4675 x2
Re2 0.4109 0.2500 0.9003 x2
O1 0.1906 0.0993 0.9147 x4
O2 0.2088 0.5983 0.5557 x4
O3 0.2254 0.2500 0.3256 x2
O4 0.2464 0.2500 0.6544 x2
O5 0.3106 0.6360 0.2166 x4
O6 0.3379 0.7500 0.9299 x2

10.
# Rb2AgAsPt
Theoretical powder diffraction line list, copper Kα. Input: a structure optimized by DFT (GGA-PBE).
Intensities are scaled so that the largest is 100.

Main lines, in order of rising 2θ (2θ = 10–90°):
2θ 13.23, I = 39, (1 0 0)
2θ 18.75, I = 32, (1 1 0)
2θ 23.55, I = 44, (1 0 1)
2θ 26.63, I = 100, (2 0 0)
2θ 27.11, I = 19, (1 1 1)
2θ 35.85, I = 30, (2 1 1)
2θ 38.02, I = 39, (2 2 0)
2θ 39.39, I = 18, (0 0 2)
2θ 48.18, I = 39, (2 0 2)
2θ 55.90, I = 25, (2 2 2)
2θ 62.00, I = 18, (4 2 0)
2θ 75.97, I = 20, (4 2 2)

Structure:
Cell lengths 6.6940, 6.6940, 4.5755 Å; angles 90.00, 90.00, 90.00 degrees
Space group P4/mmm (No. 123)
Inequivalent atoms, fractional coordinates:
Rb1 0.0000 0.5000 0.0000 x2
Ag1 0.0000 0.0000 0.5000 x1
As1 0.5000 0.5000 0.5000 x1
Pt1 0.5000 0.5000 0.0000 x1

11.
# Sm6Dy2Tl
Theoretical powder diffraction line list, copper Kα. Input: a structure optimized by DFT (GGA-PBE).
Intensities are scaled so that the largest is 100.

Main lines, in order of rising 2θ (2θ = 10–90°):
2θ 27.49, I = 35, (4 2 -1)
2θ 28.27, I = 30, (2 0 -2)
2θ 32.07, I = 93, (5 1 1)
2θ 32.39, I = 100, (1 3 -1)
2θ 32.91, I = 72, (5 1 -2)
2θ 33.36, I = 65, (6 2 0)
2θ 44.28, I = 25, (4 2 2)
2θ 49.57, I = 18, (6 2 -3)
2θ 51.55, I = 19, (11 1 -2)
2θ 59.21, I = 25, (7 5 -1)
2θ 60.20, I = 22, (0 6 0)
2θ 65.85, I = 25, (11 3 1)

Structure:
Cell lengths 20.8097, 9.2220, 6.3132 Å; angles 90.00, 107.65, 90.00 degrees
Space group C2/c (No. 15)
Inequivalent atoms, fractional coordinates:
Sm1 0.0791 0.0721 0.2184 x8
Sm2 0.0792 0.4273 0.4384 x8
Sm3 0.1687 0.2503 0.9185 x8
Dy1 0.2498 0.0780 0.5737 x8
Tl1 0.0000 0.2505 0.7500 x4

12.
# RbHo4PuS8
Theoretical powder diffraction line list, copper Kα. Input: a structure optimized by DFT (GGA-PBE).
Intensities are scaled so that the largest is 100.

Main lines, in order of rising 2θ (2θ = 10–90°):
2θ 13.16, I = 45, (1 0 1)
2θ 21.61, I = 25, (1 1 0)
2θ 25.09, I = 49, (0 1 5)
2θ 25.29, I = 100, (1 1 3)
2θ 25.39, I = 27, (0 2 1)
2θ 26.50, I = 29, (2 0 2)
2θ 30.59, I = 51, (0 2 4)
2θ 40.09, I = 39, (1 2 5)
2θ 40.22, I = 31, (0 3 3)
2θ 43.55, I = 52, (2 0 8)
2θ 44.05, I = 51, (2 2 0)
2θ 61.14, I = 25, (4 1 3)

Structure:
Cell lengths 8.2228, 8.2228, 20.4715 Å; angles 90.00, 90.00, 120.00 degrees
Space group R3m (No. 160, hexagonal axes)
Inequivalent atoms, fractional coordinates:
Rb1 0.0000 0.0000 0.0000 x3
Ho1 0.0000 0.0000 0.2514 x3
Ho2 0.1724 0.3447 0.4584 x9
Pu1 0.0000 0.0000 0.6293 x3
S1 0.0000 0.0000 0.3829 x3
S2 0.0000 0.0000 0.8570 x3
S3 0.0513 0.5256 0.3838 x9
S4 0.1743 0.3487 0.2048 x9